This entry pairs a crystal structure of LaNiAs2Rh2 with its theoretical X-ray powder pattern. Radiation: a wavelength of 1.5418 Å. Structure: DFT lattice parameters and positions (PBE).
Peak positions follow from Bragg's law for the DFT cell and can differ from measured ones.

Structure:
```
data_LaNiAs2Rh2
_chemical_formula_sum 'La1 Ni1 As2 Rh2'
_space_group_name_H-M_alt 'P 4/m m m'
_space_group_IT_number 123
_space_group_name_Hall '-P 4 2'
_cell_length_a 4.536
_cell_length_b 4.536
_cell_length_c 5.492
_cell_angle_alpha 90.00
_cell_angle_beta 90.00
_cell_angle_gamma 90.00
loop_
_atom_site_label
_atom_site_type_symbol
_atom_site_fract_x
_atom_site_fract_y
_atom_site_fract_z
_atom_site_occupancy
La1 La 0.000 0.000 0.000 1
Ni1 Ni 0.000 0.000 0.500 1
As1 As 0.000 0.500 0.500 1
Rh1 Rh 0.500 0.500 0.243 1
```

Largest 10 diffraction maxima, by angle, 10° ≤ 2θ ≤ 90°:
hkl 1 1 0, 2θ 27.81, I = 47
hkl 1 1 1, 2θ 32.32, I = 52
hkl 1 0 2, 2θ 38.32, I = 100
hkl 2 0 0, 2θ 39.74, I = 86
hkl 2 1 2, 2θ 56.39, I = 63
hkl 2 2 0, 2θ 57.46, I = 28
hkl 3 1 1, 2θ 67.48, I = 12
hkl 3 0 2, 2θ 71.19, I = 15
hkl 2 0 4, 2θ 82.05, I = 20
hkl 3 2 2, 2θ 84.75, I = 19

=====

This entry pairs a crystal structure of HoMnIn with its theoretical X-ray powder pattern. Radiation: a wavelength of 1.5418 Å. Structure: DFT lattice parameters and positions (PBE).
Peak positions follow from Bragg's law for the DFT cell and can differ from measured ones.

Structure:
```
data_HoMnIn
_chemical_formula_sum 'Ho1 Mn1 In1'
_space_group_name_H-M_alt 'P -6 m 2'
_space_group_IT_number 187
_space_group_name_Hall 'P -6 2'
_cell_length_a 4.7658
_cell_length_b 4.7658
_cell_length_c 3.4791
_cell_angle_alpha 90.00
_cell_angle_beta 90.00
_cell_angle_gamma 120.00
loop_
_atom_site_label
_atom_site_type_symbol
_atom_site_fract_x
_atom_site_fract_y
_atom_site_fract_z
_atom_site_occupancy
Ho1 Ho 0.0000 0.0000 0.0000 1
Mn1 Mn 0.6667 0.3333 0.5000 1
In1 In 0.3333 0.6667 0.5000 1
```

Largest 10 diffraction maxima, by angle, 10° ≤ 2θ ≤ 90°:
hkl 1 0 0, 2θ 21.53, I = 20
hkl 1 0 1, 2θ 33.69, I = 100
hkl 1 1 0, 2θ 37.75, I = 64
hkl 2 0 1, 2θ 51.49, I = 30
hkl 0 0 2, 2θ 52.61, I = 8
hkl 2 1 1, 2θ 65.58, I = 28
hkl 1 1 2, 2θ 66.55, I = 23
hkl 3 0 0, 2θ 68.16, I = 11
hkl 2 2 0, 2θ 80.64, I = 7
hkl 1 0 3, 2θ 87.34, I = 7

=====

This entry pairs a crystal structure of Mg3HIr6 with its theoretical X-ray powder pattern. Radiation: a wavelength of 1.5418 Å. Structure: DFT lattice parameters and positions (PBE).
Peak positions follow from Bragg's law for the DFT cell and can differ from measured ones.

Structure:
```
data_Mg3HIr6
_chemical_formula_sum 'Mg6 H2 Ir12'
_space_group_name_H-M_alt 'C 1 m 1'
_space_group_IT_number 8
_cell_length_a 4.821
_cell_length_b 8.429
_cell_length_c 7.016
_cell_angle_alpha 90.00
_cell_angle_beta 103.13
_cell_angle_gamma 90.00
loop_
_space_group_symop_operation_xyz
'x,y,z'
'x,-y,z'
'x+1/2,y+1/2,z'
'x+1/2,-y+1/2,z'
loop_
_atom_site_label
_atom_site_type_symbol
_atom_site_fract_x
_atom_site_fract_y
_atom_site_fract_z
_atom_site_occupancy
Mg1 Mg 0.000 0.000 0.000 1
Mg2 Mg 0.270 0.174 0.342 1
H1 H 0.022 0.500 0.555 1
Ir1 Ir 0.008 0.341 0.000 1
Ir2 Ir 0.210 0.000 0.674 1
Ir3 Ir 0.237 0.332 0.679 1
Ir4 Ir 0.264 0.500 0.336 1
```

Largest 10 diffraction maxima, by angle, 10° ≤ 2θ ≤ 90°:
hkl 0 0 1, 2θ 12.96, I = 65
hkl 1 1 -1, 2θ 22.97, I = 47
hkl 1 3 0, 2θ 37.30, I = 42
hkl 2 0 -1, 2θ 37.58, I = 24
hkl 0 0 3, 2θ 39.57, I = 71
hkl 1 3 1, 2θ 41.13, I = 100
hkl 2 0 -2, 2θ 41.42, I = 49
hkl 1 3 -2, 2θ 43.34, I = 80
hkl 2 0 1, 2θ 43.51, I = 38
hkl 3 3 -1, 2θ 67.10, I = 32

=====

This entry pairs a crystal structure of TbCe5Bi4 with its theoretical X-ray powder pattern. Radiation: a wavelength of 1.5418 Å. Structure: DFT lattice parameters and positions (PBE).
Peak positions follow from Bragg's law for the DFT cell and can differ from measured ones.

Structure:
```
data_TbCe5Bi4
_chemical_formula_sum 'Tb2 Ce10 Bi8'
_space_group_name_H-M_alt 'C m m m'
_space_group_IT_number 65
_space_group_name_Hall '-C 2 2'
_cell_length_a 10.508
_cell_length_b 11.161
_cell_length_c 5.980
_cell_angle_alpha 90.00
_cell_angle_beta 90.00
_cell_angle_gamma 90.00
loop_
_atom_site_label
_atom_site_type_symbol
_atom_site_fract_x
_atom_site_fract_y
_atom_site_fract_z
_atom_site_occupancy
Tb1 Tb 0.000 0.000 0.000 1
Ce1 Ce 0.000 0.500 0.500 1
Ce2 Ce 0.250 0.250 0.234 1
Bi1 Bi 0.000 0.166 0.500 1
Bi2 Bi 0.178 0.500 0.000 1
```

Largest 10 diffraction maxima, by angle, 10° ≤ 2θ ≤ 90°:
hkl 0 2 1, 2θ 21.78, I = 56
hkl 2 0 1, 2θ 22.53, I = 77
hkl 1 3 0, 2θ 25.40, I = 38
hkl 3 1 0, 2θ 26.67, I = 41
hkl 1 3 1, 2θ 29.53, I = 45
hkl 0 2 2, 2θ 34.02, I = 62
hkl 4 0 0, 2θ 34.13, I = 38
hkl 2 0 2, 2θ 34.52, I = 53
hkl 2 2 2, 2θ 38.21, I = 41
hkl 3 3 1, 2θ 38.37, I = 100

=====

This entry pairs a crystal structure of As2PbAu2 with its theoretical X-ray powder pattern. Radiation: a wavelength of 1.5418 Å. Structure: DFT lattice parameters and positions (PBE).
Peak positions follow from Bragg's law for the DFT cell and can differ from measured ones.

Structure:
```
data_As2PbAu2
_chemical_formula_sum 'As4 Pb2 Au4'
_space_group_name_H-M_alt 'I 4/m m m'
_space_group_IT_number 139
_space_group_name_Hall '-I 4 2'
_cell_length_a 4.227
_cell_length_b 4.227
_cell_length_c 12.578
_cell_angle_alpha 90.00
_cell_angle_beta 90.00
_cell_angle_gamma 90.00
loop_
_atom_site_label
_atom_site_type_symbol
_atom_site_fract_x
_atom_site_fract_y
_atom_site_fract_z
_atom_site_occupancy
As1 As 0.000 0.500 0.250 1
Pb1 Pb 0.000 0.000 0.000 1
Au1 Au 0.000 0.000 0.391 1
```

Largest 10 diffraction maxima, by angle, 10° ≤ 2θ ≤ 90°:
hkl 1 1 0, 2θ 29.90, I = 54
hkl 1 0 3, 2θ 30.02, I = 81
hkl 1 1 2, 2θ 33.19, I = 82
hkl 1 0 5, 2θ 41.76, I = 100
hkl 2 0 0, 2θ 42.79, I = 60
hkl 2 1 3, 2θ 53.15, I = 34
hkl 2 1 5, 2θ 61.35, I = 51
hkl 2 2 0, 2θ 62.11, I = 20
hkl 3 1 0, 2θ 70.48, I = 18
hkl 3 0 5, 2θ 77.66, I = 20

=====

This entry pairs a crystal structure of NaSr2Tl7 with its theoretical X-ray powder pattern. Radiation: a wavelength of 1.5418 Å. Structure: DFT lattice parameters and positions (PBE).
Peak positions follow from Bragg's law for the DFT cell and can differ from measured ones.

Structure:
```
data_NaSr2Tl7
_chemical_formula_sum 'Na4 Sr8 Tl28'
_space_group_name_H-M_alt 'F m -3 m'
_space_group_IT_number 225
_space_group_name_Hall '-F 4 2 3'
_cell_length_a 11.449
_cell_length_b 11.449
_cell_length_c 11.449
_cell_angle_alpha 90.00
_cell_angle_beta 90.00
_cell_angle_gamma 90.00
loop_
_atom_site_label
_atom_site_type_symbol
_atom_site_fract_x
_atom_site_fract_y
_atom_site_fract_z
_atom_site_occupancy
Na1 Na 0.000 0.000 0.000 1
Sr1 Sr 0.250 0.250 0.250 1
Tl1 Tl 0.000 0.000 0.244 1
Tl2 Tl 0.000 0.000 0.500 1
```

Largest 10 diffraction maxima, by angle, 10° ≤ 2θ ≤ 90°:
hkl 2 0 0, 2θ 15.48, I = 41
hkl 2 2 2, 2θ 26.98, I = 100
hkl 4 0 0, 2θ 31.25, I = 100
hkl 4 2 0, 2θ 35.05, I = 23
hkl 4 4 0, 2θ 44.78, I = 75
hkl 6 2 2, 2θ 53.06, I = 47
hkl 4 4 4, 2θ 55.62, I = 26
hkl 6 6 2, 2θ 71.89, I = 19
hkl 8 4 0, 2θ 74.07, I = 34
hkl 8 4 4, 2θ 82.56, I = 26

=====

This entry pairs a crystal structure of PrErZnCo with its theoretical X-ray powder pattern. Radiation: a wavelength of 1.5418 Å. Structure: DFT lattice parameters and positions (PBE).
Peak positions follow from Bragg's law for the DFT cell and can differ from measured ones.

Structure:
```
data_PrErZnCo
_chemical_formula_sum 'Pr4 Er4 Zn4 Co4'
_space_group_name_H-M_alt 'F -4 3 m'
_space_group_IT_number 216
_space_group_name_Hall 'F -4 2 3'
_cell_length_a 7.016
_cell_length_b 7.016
_cell_length_c 7.016
_cell_angle_alpha 90.00
_cell_angle_beta 90.00
_cell_angle_gamma 90.00
loop_
_atom_site_label
_atom_site_type_symbol
_atom_site_fract_x
_atom_site_fract_y
_atom_site_fract_z
_atom_site_occupancy
Pr1 Pr 0.000 0.000 0.000 1
Er1 Er 0.000 0.000 0.500 1
Zn1 Zn 0.250 0.250 0.750 1
Co1 Co 0.250 0.250 0.250 1
```

Largest 10 diffraction maxima, by angle, 10° ≤ 2θ ≤ 90°:
hkl 1 1 1, 2θ 21.94, I = 1
hkl 2 0 0, 2θ 25.39, I = 19
hkl 2 2 0, 2θ 36.21, I = 100
hkl 2 2 2, 2θ 44.75, I = 6
hkl 4 0 0, 2θ 52.15, I = 17
hkl 4 2 0, 2θ 58.86, I = 8
hkl 4 2 2, 2θ 65.13, I = 35
hkl 4 4 0, 2θ 76.86, I = 11
hkl 6 0 0, 2θ 82.49, I = 4
hkl 6 2 0, 2θ 88.04, I = 16

=====

This entry pairs a crystal structure of K2MnCr with its theoretical X-ray powder pattern. Radiation: a wavelength of 1.5418 Å. Structure: DFT lattice parameters and positions (PBE).
Peak positions follow from Bragg's law for the DFT cell and can differ from measured ones.

Structure:
```
data_K2MnCr
_chemical_formula_sum 'K2 Mn1 Cr1'
_space_group_name_H-M_alt 'P 4 m m'
_space_group_IT_number 99
_cell_length_a 3.526
_cell_length_b 3.526
_cell_length_c 10.438
_cell_angle_alpha 90.00
_cell_angle_beta 90.00
_cell_angle_gamma 90.00
loop_
_space_group_symop_operation_xyz
'x,y,z'
'-y,x,z'
'-x,-y,z'
'y,-x,z'
'-x,y,z'
'y,x,z'
'x,-y,z'
'-y,-x,z'
loop_
_atom_site_label
_atom_site_type_symbol
_atom_site_fract_x
_atom_site_fract_y
_atom_site_fract_z
_atom_site_occupancy
K1 K 0.000 0.000 0.000 1
K2 K 0.500 0.500 0.398 1
Mn1 Mn 0.000 0.000 0.672 1
Cr1 Cr 0.500 0.500 0.725 1
```

Largest 10 diffraction maxima, by angle, 10° ≤ 2θ ≤ 90°:
hkl 0 0 3, 2θ 25.60, I = 94
hkl 1 0 1, 2θ 26.69, I = 45
hkl 1 0 2, 2θ 30.60, I = 63
hkl 1 1 0, 2θ 36.02, I = 100
hkl 1 0 3, 2θ 36.27, I = 53
hkl 1 1 1, 2θ 37.07, I = 35
hkl 1 1 3, 2θ 44.72, I = 74
hkl 2 0 0, 2θ 51.86, I = 31
hkl 2 0 3, 2θ 58.71, I = 30
hkl 1 0 6, 2θ 59.23, I = 39

=====

This entry pairs a crystal structure of FeNi8Rh2 with its theoretical X-ray powder pattern. Radiation: a wavelength of 1.5418 Å. Structure: DFT lattice parameters and positions (PBE).
Peak positions follow from Bragg's law for the DFT cell and can differ from measured ones.

Structure:
```
data_FeNi8Rh2
_chemical_formula_sum 'Fe2 Ni16 Rh4'
_space_group_name_H-M_alt 'C 1 2/m 1'
_space_group_IT_number 12
_cell_length_a 6.591
_cell_length_b 12.497
_cell_length_c 4.371
_cell_angle_alpha 90.00
_cell_angle_beta 130.93
_cell_angle_gamma 90.00
loop_
_space_group_symop_operation_xyz
'x,y,z'
'-x,-y,-z'
'-x,y,-z'
'x,-y,z'
'x+1/2,y+1/2,z'
'-x+1/2,-y+1/2,-z'
'-x+1/2,y+1/2,-z'
'x+1/2,-y+1/2,z'
loop_
_atom_site_label
_atom_site_type_symbol
_atom_site_fract_x
_atom_site_fract_y
_atom_site_fract_z
_atom_site_occupancy
Fe1 Fe 0.000 0.000 0.000 1
Ni1 Ni 0.000 0.194 0.000 1
Ni2 Ni 0.015 0.500 0.763 1
Ni3 Ni 0.238 0.134 0.735 1
Rh1 Rh 0.000 0.316 0.500 1
```

Largest 10 diffraction maxima, by angle, 10° ≤ 2θ ≤ 90°:
hkl 1 1 0, 2θ 19.19, I = 29
hkl 2 0 -2, 2θ 41.31, I = 59
hkl 1 5 -1, 2θ 41.63, I = 100
hkl 1 1 1, 2θ 42.20, I = 44
hkl 3 1 -1, 2θ 42.60, I = 57
hkl 0 6 0, 2θ 43.45, I = 48
hkl 2 2 -2, 2θ 43.89, I = 41
hkl 2 4 0, 2θ 46.65, I = 55
hkl 1 3 1, 2θ 47.17, I = 67
hkl 3 3 -1, 2θ 47.53, I = 53

=====

This entry pairs a crystal structure of PmAlAu6 with its theoretical X-ray powder pattern. Radiation: a wavelength of 1.5418 Å. Structure: DFT lattice parameters and positions (PBE).
Peak positions follow from Bragg's law for the DFT cell and can differ from measured ones.

Structure:
```
data_PmAlAu6
_chemical_formula_sum 'Pm1 Al1 Au6'
_space_group_name_H-M_alt 'P 4/m m m'
_space_group_IT_number 123
_space_group_name_Hall '-P 4 2'
_cell_length_a 4.077
_cell_length_b 4.077
_cell_length_c 9.999
_cell_angle_alpha 90.00
_cell_angle_beta 90.00
_cell_angle_gamma 90.00
loop_
_atom_site_label
_atom_site_type_symbol
_atom_site_fract_x
_atom_site_fract_y
_atom_site_fract_z
_atom_site_occupancy
Pm1 Pm 0.000 0.000 0.000 1
Al1 Al 0.000 0.000 0.500 1
Au1 Au 0.000 0.500 0.336 1
Au2 Au 0.500 0.500 0.134 1
```

Largest 10 diffraction maxima, by angle, 10° ≤ 2θ ≤ 90°:
hkl 0 0 3, 2θ 26.75, I = 22
hkl 1 1 1, 2θ 32.32, I = 100
hkl 1 0 3, 2θ 34.76, I = 26
hkl 0 0 4, 2θ 35.95, I = 44
hkl 1 1 3, 2θ 41.41, I = 82
hkl 1 0 4, 2θ 42.41, I = 24
hkl 2 0 0, 2θ 44.44, I = 63
hkl 2 2 0, 2θ 64.65, I = 26
hkl 1 1 7, 2θ 74.12, I = 33
hkl 3 1 3, 2θ 79.75, I = 25

=====

This entry pairs a crystal structure of CaZn3Re with its theoretical X-ray powder pattern. Radiation: a wavelength of 1.5418 Å. Structure: DFT lattice parameters and positions (PBE).
Peak positions follow from Bragg's law for the DFT cell and can differ from measured ones.

Structure:
```
data_CaZn3Re
_chemical_formula_sum 'Ca1 Zn3 Re1'
_space_group_name_H-M_alt 'P m -3 m'
_space_group_IT_number 221
_space_group_name_Hall '-P 4 2 3'
_cell_length_a 4.852
_cell_length_b 4.852
_cell_length_c 4.852
_cell_angle_alpha 90.00
_cell_angle_beta 90.00
_cell_angle_gamma 90.00
loop_
_atom_site_label
_atom_site_type_symbol
_atom_site_fract_x
_atom_site_fract_y
_atom_site_fract_z
_atom_site_occupancy
Ca1 Ca 0.000 0.000 0.000 1
Zn1 Zn 0.000 0.500 0.500 1
Re1 Re 0.500 0.500 0.500 1
```

Largest 10 diffraction maxima, by angle, 10° ≤ 2θ ≤ 90°:
hkl 1 0 0, 2θ 18.29, I = 100
hkl 1 1 0, 2θ 25.97, I = 47
hkl 2 0 0, 2θ 37.06, I = 75
hkl 2 1 0, 2θ 41.63, I = 51
hkl 2 1 1, 2θ 45.81, I = 20
hkl 2 2 0, 2θ 53.42, I = 51
hkl 3 0 0, 2θ 56.94, I = 26
hkl 2 2 2, 2θ 66.80, I = 17
hkl 3 2 0, 2θ 69.91, I = 11
hkl 4 1 0, 2θ 81.86, I = 15

=====

This entry pairs a crystal structure of RbBaHg with its theoretical X-ray powder pattern. Radiation: a wavelength of 1.5418 Å. Structure: DFT lattice parameters and positions (PBE).
Peak positions follow from Bragg's law for the DFT cell and can differ from measured ones.

Structure:
```
data_RbBaHg
_chemical_formula_sum 'Rb4 Ba4 Hg4'
_space_group_name_H-M_alt 'C m c m'
_space_group_IT_number 63
_space_group_name_Hall '-C 2c 2'
_cell_length_a 4.629
_cell_length_b 26.570
_cell_length_c 5.283
_cell_angle_alpha 90.00
_cell_angle_beta 90.00
_cell_angle_gamma 90.00
loop_
_atom_site_label
_atom_site_type_symbol
_atom_site_fract_x
_atom_site_fract_y
_atom_site_fract_z
_atom_site_occupancy
Rb1 Rb 0.000 0.185 0.250 1
Ba1 Ba 0.000 0.436 0.250 1
Hg1 Hg 0.000 0.039 0.250 1
```

Largest 10 diffraction maxima, by angle, 10° ≤ 2θ ≤ 90°:
hkl 1 5 0, 2θ 25.52, I = 44
hkl 1 1 1, 2θ 25.81, I = 70
hkl 0 6 1, 2θ 26.26, I = 29
hkl 0 8 0, 2θ 26.84, I = 43
hkl 1 3 1, 2θ 27.53, I = 95
hkl 1 5 1, 2θ 30.70, I = 99
hkl 0 0 2, 2θ 33.94, I = 46
hkl 1 7 1, 2θ 34.97, I = 100
hkl 2 0 0, 2θ 38.91, I = 32
hkl 1 13 0, 2θ 48.68, I = 29

=====

This entry pairs a crystal structure of Mn6TlPd12 with its theoretical X-ray powder pattern. Radiation: a wavelength of 1.5418 Å. Structure: DFT lattice parameters and positions (PBE).
Peak positions follow from Bragg's law for the DFT cell and can differ from measured ones.

Structure:
```
data_Mn6TlPd12
_chemical_formula_sum 'Mn18 Tl3 Pd36'
_space_group_name_H-M_alt 'R -3'
_space_group_IT_number 148
_space_group_name_Hall '-R 3'
_cell_length_a 10.0894
_cell_length_b 10.0894
_cell_length_c 9.7826
_cell_angle_alpha 90.00
_cell_angle_beta 90.00
_cell_angle_gamma 120.00
loop_
_atom_site_label
_atom_site_type_symbol
_atom_site_fract_x
_atom_site_fract_y
_atom_site_fract_z
_atom_site_occupancy
Mn1 Mn 0.0380 0.8182 0.0072 1
Tl1 Tl 0.0000 0.0000 0.5000 1
Pd1 Pd 0.0239 0.5763 0.1319 1
Pd2 Pd 0.0627 0.1852 0.7594 1
```

Largest 10 diffraction maxima, by angle, 10° ≤ 2θ ≤ 90°:
hkl 0 0 3, 2θ 27.35, I = 7
hkl 3 -2 2, 2θ 32.72, I = 11
hkl 4 -3 1, 2θ 38.25, I = 100
hkl 3 1 2, 2θ 41.58, I = 63
hkl 2 2 3, 2θ 45.47, I = 22
hkl 3 -2 5, 2θ 54.52, I = 11
hkl 2 5 0, 2θ 66.86, I = 16
hkl 2 5 3, 2θ 73.66, I = 15
hkl 4 1 6, 2θ 76.96, I = 11
hkl 6 2 1, 2θ 79.75, I = 9

=====

This entry pairs a crystal structure of Tb3YSb2 with its theoretical X-ray powder pattern. Radiation: a wavelength of 1.5418 Å. Structure: DFT lattice parameters and positions (PBE).
Peak positions follow from Bragg's law for the DFT cell and can differ from measured ones.

Structure:
```
data_Tb3YSb2
_chemical_formula_sum 'Tb3 Y1 Sb2'
_space_group_name_H-M_alt 'P -4 m 2'
_space_group_IT_number 115
_cell_length_a 4.492
_cell_length_b 4.492
_cell_length_c 8.512
_cell_angle_alpha 90.00
_cell_angle_beta 90.00
_cell_angle_gamma 90.00
loop_
_space_group_symop_operation_xyz
'x,y,z'
'y,-x,-z'
'-x,-y,z'
'-y,x,-z'
'-x,y,z'
'-y,-x,-z'
'x,-y,z'
'y,x,-z'
loop_
_atom_site_label
_atom_site_type_symbol
_atom_site_fract_x
_atom_site_fract_y
_atom_site_fract_z
_atom_site_occupancy
Tb1 Tb 0.000 0.000 0.000 1
Tb2 Tb 0.000 0.500 0.649 1
Y1 Y 0.500 0.500 0.000 1
Sb1 Sb 0.000 0.500 0.280 1
```

Largest 10 diffraction maxima, by angle, 10° ≤ 2θ ≤ 90°:
hkl 1 1 0, 2θ 28.09, I = 24
hkl 1 0 2, 2θ 28.90, I = 24
hkl 1 1 1, 2θ 30.03, I = 100
hkl 0 0 3, 2θ 31.53, I = 43
hkl 1 1 2, 2θ 35.26, I = 91
hkl 1 0 3, 2θ 37.49, I = 24
hkl 2 0 0, 2θ 40.15, I = 64
hkl 2 0 3, 2θ 51.93, I = 42
hkl 2 2 0, 2θ 58.08, I = 22
hkl 3 1 2, 2θ 69.80, I = 24